No. 1
# CsZr2P3O12
Calculated XRD peak list, λ = 1.5418 Å (Cu Kα). Input: the GGA-PBE geometry in OQMD.

Principal peaks in the range 2θ from 15° to 90°, in order of rising 2θ:
| d (Å) | two_theta | I (rel.) | index |
| --- | --- | --- | --- |
| 4.295 | 20.68 | 81 | 1 1 0 |
| 3.821 | 23.28 | 29 | 1 1 3 |
| 2.996 | 29.82 | 100 | 1 1 6 |
| 2.480 | 36.22 | 25 | 3 0 0 |
| 2.133 | 42.37 | 22 | 0 3 6 |
| 1.910 | 47.60 | 29 | 2 2 6 |
| 1.624 | 56.70 | 18 | 4 1 0 |
| 1.599 | 57.66 | 18 | 3 0 12 |
| 1.513 | 61.27 | 24 | 4 1 6 |
| 1.146 | 84.58 | 13 | 5 2 6 |

Crystal structure
Cell lengths 8.5908, 8.5908, 25.0893 Å; angles 90.00, 90.00, 120.00 degrees
Space group R-3c (No. 167, hexagonal axes)
Asymmetric unit:
Cs 0.0000 0.0000 0.0000 [6 per cell]
Zr 0.0000 0.0000 0.1533 [12 per cell]
P 0.0000 0.2823 0.2500 [18 per cell]
O 0.0252 0.2039 0.8965 [36 per cell]
O 0.0719 0.2208 0.2032 [36 per cell]

---

No. 2
# Cs2ZrP2O8
Calculated XRD peak list, λ = 1.5418 Å (Cu Kα). Input: the GGA-PBE geometry in OQMD.

Principal peaks in the range 2θ from 15° to 90°, in order of rising 2θ:
| d (Å) | two_theta | I (rel.) | index |
| --- | --- | --- | --- |
| 4.119 | 21.57 | 69 | 1 0 1 |
| 3.297 | 27.05 | 100 | 0 1 2 |
| 2.638 | 33.99 | 50 | 1 1 0 |
| 2.221 | 40.61 | 16 | 0 2 1 |
| 2.112 | 42.83 | 21 | 1 0 4 |
| 2.060 | 43.96 | 16 | 2 0 2 |
| 2.029 | 44.66 | 31 | 1 1 3 |
| 1.699 | 53.96 | 14 | 2 1 1 |
| 1.623 | 56.70 | 21 | 1 2 2 |
| 1.523 | 60.82 | 11 | 3 0 0 |

Crystal structure
Cell lengths 5.2756, 5.2756, 9.5244 Å; angles 90.00, 90.00, 120.00 degrees
Space group P-3 (No. 147)
Asymmetric unit:
Cs 0.3333 0.6667 0.1452 [2 per cell]
Zr 0.0000 0.0000 0.5000 [1 per cell]
P 0.3333 0.6667 0.6830 [2 per cell]
O 0.1008 0.7398 0.6273 [6 per cell]
O 0.3333 0.6667 0.8427 [2 per cell]